Structure and calculated PXRD pattern of ZnCuAsHO5 (the PBE geometry in Alexandria; λ = 1.5418 Å (Cu Kα)).
Neutral-atom scattering factors, no anomalous dispersion.

Largest 12 diffraction maxima, by intensity, 2θ from 5° to 70°:
two_theta	Rel. int.	(hkl)
17.91	100.0	0 1 1
28.96	96.9	2 2 0
35.81	93.3	1 3 1
36.28	65.3	2 0 2
32.47	59.2	1 3 0
56.23	58.0	4 2 2
14.36	52.0	1 1 0
33.13	47.7	1 1 2
22.79	46.8	1 2 0
20.62	43.1	1 1 1
34.28	29.3	3 0 1
56.75	23.7	1 3 3

Unit cell a=8.7060 b=8.7345 c=6.0185 alpha=90.00 beta=90.00 gamma=90.00
Space group Pnnm (No. 58)
Symmetry-distinct sites (fractional):
Zn  0.1398  0.1232  0.0000 [4 per cell]
Cu  0.0000  0.5000  0.2502 [4 per cell]
As  0.2350  0.7449  0.0000 [4 per cell]
H  0.0711  0.7024  0.5000 [4 per cell]
O  0.1044  0.8941  0.0000 [4 per cell]
O  0.1154  0.5988  0.5000 [4 per cell]
O  0.1291  0.5745  0.0000 [4 per cell]
O  0.1474  0.2547  0.2722 [8 per cell]

=====

Structure and calculated PXRD pattern of SrLi2Ga3 (the PBE geometry in Alexandria; λ = 1.5418 Å (Cu Kα)).
Neutral-atom scattering factors, no anomalous dispersion.

Largest 12 diffraction maxima, by intensity, 2θ from 5° to 70°:
two_theta	Rel. int.	(hkl)
32.17	100.0	3 1 1
31.35	73.3	2 2 1
43.19	66.1	3 3 1
19.73	54.4	0 2 0
35.33	53.2	0 0 2
30.95	24.2	1 3 0
26.46	22.9	0 2 1
40.79	21.9	0 2 2
33.38	21.4	4 0 0
43.09	21.1	4 2 1
25.83	18.5	2 2 0
68.85	15.8	3 3 3

Unit cell a=10.7383 b=8.9990 c=5.0810 alpha=90.00 beta=90.00 gamma=90.00
Space group Cmcm (No. 63)
Symmetry-distinct sites (fractional):
Sr  0.0000  0.1803  0.2500 [4 per cell]
Li  0.2133  0.5000  0.0000 [8 per cell]
Ga  0.0000  0.4268  0.7500 [4 per cell]
Ga  0.1895  0.2328  0.7500 [8 per cell]